[1]
The following is a simulated X-ray powder pattern of PmIn5Hg8. It was derived from a structure optimized by DFT (GGA-PBE), using Cu Ka.
Peak positions follow from Bragg's law for the DFT cell and can differ from measured ones.

Crystal structure
Lattice parameters (Å, degrees): 14.5027 7.5861 8.6088 90.00 125.56 90.00
Space group C2 (No. 5)
Symmetry-distinct sites (fractional):
Pm  0.0000  0.0000  0.0000 [2 per cell]
In  0.0000  0.6321  0.5000 [2 per cell]
In  0.0729  0.3031  0.7977 [4 per cell]
In  0.1197  0.0323  0.4892 [4 per cell]
Hg  0.0711  0.6314  0.2223 [4 per cell]
Hg  0.1567  0.8790  0.8738 [4 per cell]
Hg  0.1877  0.2876  0.2488 [4 per cell]
Hg  0.2297  0.3955  0.6783 [4 per cell]

Principal peaks in the range 5° ≤ 2θ ≤ 70°, most intense first:
- 34.4 deg, intensity 100, hkl 5 1 -1
- 40.2 deg, intensity 75, hkl 4 2 -3
- 32.8 deg, intensity 70, hkl 1 1 2
- 28.0 deg, intensity 67, hkl 2 2 0
- 34.6 deg, intensity 51, hkl 4 2 -1
- 33.4 deg, intensity 47, hkl 3 1 -3
- 32.2 deg, intensity 40, hkl 4 0 -3
- 33.3 deg, intensity 39, hkl 5 1 -2
- 25.5 deg, intensity 39, hkl 0 0 2
- 34.1 deg, intensity 37, hkl 3 1 1
- 37.0 deg, intensity 37, hkl 1 3 -1
- 36.3 deg, intensity 36, hkl 1 3 0


[2]
The following is a simulated X-ray powder pattern of PmInHg4. It was derived from a structure optimized by DFT (GGA-PBE), using Cu Ka.
Peak positions follow from Bragg's law for the DFT cell and can differ from measured ones.

Crystal structure
Lattice parameters (Å, degrees): 4.7619 13.0465 4.8348 90.00 90.00 90.00
Space group Cmmm (No. 65)
Symmetry-distinct sites (fractional):
Pm  0.0000  0.0000  0.0000 [2 per cell]
In  0.0000  0.5000  0.5000 [2 per cell]
Hg  0.0000  0.1660  0.5000 [4 per cell]
Hg  0.0000  0.3274  0.0000 [4 per cell]

Principal peaks in the range 5° ≤ 2θ ≤ 70°, most intense first:
- 33.5 deg, intensity 100, hkl 1 3 1
- 37.2 deg, intensity 19, hkl 0 0 2
- 37.8 deg, intensity 18, hkl 2 0 0
- 64.7 deg, intensity 15, hkl 1 3 3
- 65.5 deg, intensity 15, hkl 3 3 1
- 41.5 deg, intensity 14, hkl 0 6 0
- 54.1 deg, intensity 13, hkl 2 0 2
- 57.0 deg, intensity 11, hkl 0 6 2
- 57.4 deg, intensity 11, hkl 2 6 0
- 13.6 deg, intensity 4, hkl 0 2 0
- 27.2 deg, intensity 2, hkl 1 1 1
- 43.8 deg, intensity 2, hkl 1 5 1


[3]
The following is a simulated X-ray powder pattern of Pm3In3Hg2. It was derived from a structure optimized by DFT (GGA-PBE), using Cu Ka.
Peak positions follow from Bragg's law for the DFT cell and can differ from measured ones.

Crystal structure
Lattice parameters (Å, degrees): 4.8008 11.4712 15.8709 90.00 90.00 90.00
Space group Cmcm (No. 63)
Symmetry-distinct sites (fractional):
Pm  0.0000  0.0834  0.1108 [8 per cell]
Pm  0.0000  0.3444  0.2500 [4 per cell]
In  0.0000  0.3746  0.7500 [4 per cell]
In  0.0000  0.3857  0.0398 [8 per cell]
Hg  0.0000  0.2100  0.6084 [8 per cell]

Principal peaks in the range 5° ≤ 2θ ≤ 70°, most intense first:
- 34.4 deg, intensity 100, hkl 1 3 3
- 30.2 deg, intensity 100, hkl 1 1 4
- 37.5 deg, intensity 61, hkl 2 0 0
- 37.7 deg, intensity 48, hkl 1 3 4
- 30.4 deg, intensity 38, hkl 1 3 1
- 51.4 deg, intensity 32, hkl 0 4 7
- 31.7 deg, intensity 27, hkl 0 4 1
- 33.9 deg, intensity 21, hkl 0 0 6
- 65.3 deg, intensity 18, hkl 2 4 7
- 59.6 deg, intensity 18, hkl 1 7 0
- 15.4 deg, intensity 17, hkl 0 2 0
- 63.2 deg, intensity 17, hkl 3 1 4


[4]
The following is a simulated X-ray powder pattern of Pm6InHg2. It was derived from a structure optimized by DFT (GGA-PBE), using Cu Ka.
Peak positions follow from Bragg's law for the DFT cell and can differ from measured ones.

Crystal structure
Lattice parameters (Å, degrees): 5.2926 13.0050 15.8712 90.00 90.00 90.00
Space group Fmmm (No. 69)
Symmetry-distinct sites (fractional):
Pm  0.0000  0.1516  0.1686 [16 per cell]
Pm  0.0000  0.1576  0.5000 [8 per cell]
In  0.0000  0.0000  0.0000 [4 per cell]
Hg  0.0000  0.0000  0.3380 [8 per cell]

Principal peaks in the range 5° ≤ 2θ ≤ 70°, most intense first:
- 31.6 deg, intensity 100, hkl 1 3 3
- 33.9 deg, intensity 43, hkl 2 0 0
- 59.2 deg, intensity 33, hkl 3 3 3
- 54.7 deg, intensity 19, hkl 2 6 0
- 48.7 deg, intensity 16, hkl 2 0 6
- 66.0 deg, intensity 11, hkl 2 6 6
- 41.7 deg, intensity 10, hkl 0 6 0
- 69.8 deg, intensity 7, hkl 1 9 3
- 42.3 deg, intensity 4, hkl 1 5 3
- 13.6 deg, intensity 4, hkl 0 2 0
- 67.6 deg, intensity 3, hkl 2 8 0
- 66.4 deg, intensity 2, hkl 3 5 3


[5]
The following is a simulated X-ray powder pattern of Pm3InHg5. It was derived from a structure optimized by DFT (GGA-PBE), using Cu Ka.
Peak positions follow from Bragg's law for the DFT cell and can differ from measured ones.

Crystal structure
Lattice parameters (Å, degrees): 9.1239 9.1239 6.5012 90.00 90.00 120.00
Space group P6_3/mcm (No. 193)
Symmetry-distinct sites (fractional):
Pm  0.0000  0.3381  0.2500 [6 per cell]
In  0.0000  0.0000  0.0000 [2 per cell]
Hg  0.0000  0.3293  0.7500 [6 per cell]
Hg  0.3333  0.6667  0.0000 [4 per cell]

Principal peaks in the range 5° ≤ 2θ ≤ 70°, most intense first:
- 34.0 deg, intensity 100, hkl 3 0 0
- 33.9 deg, intensity 90, hkl 1 1 2
- 60.8 deg, intensity 34, hkl 4 1 2
- 48.8 deg, intensity 33, hkl 2 2 2
- 67.7 deg, intensity 28, hkl 3 0 4
- 60.9 deg, intensity 19, hkl 3 3 0
- 44.3 deg, intensity 11, hkl 3 0 2
- 56.6 deg, intensity 8, hkl 0 0 4
- 27.4 deg, intensity 7, hkl 0 0 2
- 23.8 deg, intensity 4, hkl 1 1 1
- 11.2 deg, intensity 3, hkl 1 0 0
- 68.1 deg, intensity 3, hkl 3 3 2


[6]
The following is a simulated X-ray powder pattern of Pm2InHg5. It was derived from a structure optimized by DFT (GGA-PBE), using Cu Ka.
Peak positions follow from Bragg's law for the DFT cell and can differ from measured ones.

Crystal structure
Lattice parameters (Å, degrees): 5.4378 5.4378 14.1125 90.00 90.00 90.00
Space group I4/mmm (No. 139)
Symmetry-distinct sites (fractional):
Pm  0.0000  0.0000  0.2484 [4 per cell]
In  0.0000  0.0000  0.0000 [2 per cell]
Hg  0.0000  0.0000  0.5000 [2 per cell]
Hg  0.0000  0.5000  0.1220 [8 per cell]

Principal peaks in the range 5° ≤ 2θ ≤ 70°, most intense first:
- 34.5 deg, intensity 100, hkl 1 1 4
- 32.9 deg, intensity 57, hkl 2 0 0
- 59.8 deg, intensity 41, hkl 3 1 4
- 47.3 deg, intensity 21, hkl 2 2 0
- 62.8 deg, intensity 18, hkl 2 0 8
- 51.8 deg, intensity 8, hkl 0 0 8
- 69.1 deg, intensity 7, hkl 4 0 0
- 23.1 deg, intensity 2, hkl 1 1 0
- 17.5 deg, intensity 2, hkl 1 0 1
- 42.0 deg, intensity 1, hkl 2 0 4
- 25.2 deg, intensity 1, hkl 0 0 4
- 25.0 deg, intensity 1, hkl 1 0 3


[7]
The following is a simulated X-ray powder pattern of PmInHgSb. It was derived from a structure optimized by DFT (GGA-PBE), using Cu Ka.
Peak positions follow from Bragg's law for the DFT cell and can differ from measured ones.

Crystal structure
Lattice parameters (Å, degrees): 7.6361 7.6361 7.6361 90.00 90.00 90.00
Space group F-43m (No. 216)
Symmetry-distinct sites (fractional):
Pm  0.0000  0.0000  0.0000 [4 per cell]
In  0.0000  0.0000  0.5000 [4 per cell]
Hg  0.2500  0.2500  0.2500 [4 per cell]
Sb  0.2500  0.2500  0.7500 [4 per cell]

Principal peaks in the range 5° ≤ 2θ ≤ 70°, most intense first:
- 33.2 deg, intensity 100, hkl 2 2 0
- 59.3 deg, intensity 38, hkl 4 2 2
- 47.6 deg, intensity 18, hkl 4 0 0
- 69.7 deg, intensity 12, hkl 4 4 0
- 20.1 deg, intensity 4, hkl 1 1 1
- 39.1 deg, intensity 3, hkl 3 1 1
- 52.2 deg, intensity 1, hkl 3 3 1
- 23.3 deg, intensity 1, hkl 2 0 0
- 63.3 deg, intensity 1, hkl 5 1 1
- 53.7 deg, intensity 1, hkl 4 2 0


[8]
The following is a simulated X-ray powder pattern of Pr3In2Hg. It was derived from a structure optimized by DFT (GGA-PBE), using Cu Ka.
Peak positions follow from Bragg's law for the DFT cell and can differ from measured ones.

Crystal structure
Lattice parameters (Å, degrees): 3.7454 3.7454 12.5678 90.00 90.00 90.00
Space group P4/mmm (No. 123)
Symmetry-distinct sites (fractional):
Pr  0.0000  0.0000  0.0000 [1 per cell]
Pr  0.0000  0.0000  0.3355 [2 per cell]
In  0.5000  0.5000  0.1699 [2 per cell]
Hg  0.5000  0.5000  0.5000 [1 per cell]

Principal peaks in the range 5° ≤ 2θ ≤ 70°, most intense first:
- 32.1 deg, intensity 100, hkl 1 0 3
- 33.8 deg, intensity 43, hkl 1 1 0
- 59.4 deg, intensity 34, hkl 2 1 3
- 56.0 deg, intensity 20, hkl 1 1 6
- 48.6 deg, intensity 16, hkl 2 0 0
- 67.0 deg, intensity 12, hkl 2 0 6
- 43.2 deg, intensity 11, hkl 0 0 6
- 7.0 deg, intensity 7, hkl 0 0 1
- 24.8 deg, intensity 2, hkl 1 0 1
- 14.1 deg, intensity 1, hkl 0 0 2
- 37.4 deg, intensity 1, hkl 1 0 4
- 34.6 deg, intensity 1, hkl 1 1 1